For Pr8C8Cl5, a crystal structure in the Materials Project, relaxed with PBE gives the simulated XRD peak list in this record (Cu Ka).

Main lines, in order of rising 2θ (5° ≤ 2θ ≤ 70°):
| 2θ (°) | intensity | h k l |
| --- | --- | --- |
| 11.8 | 65 | 1 0 0 |
| 24.8 | 100 | 0 4 1 |
| 26.6 | 50 | 1 0 -2 |
| 28.9 | 100 | 1 4 1 |
| 29.0 | 85 | 2 3 -1 |
| 30.5 | 43 | 1 5 -1 |
| 32.0 | 83 | 1 0 2 |
| 32.2 | 55 | 2 4 -1 |
| 45.1 | 38 | 1 4 -3 |
| 46.2 | 39 | 0 4 3 |

Lattice parameters (Å, degrees): 7.7159 17.1174 6.8360 90.00 103.99 90.00
Space group P2_1/c (No. 14)
Inequivalent atoms, fractional coordinates:
Pr: 0.0744 0.1951 0.1241 (multiplicity 4)
Pr: 0.1507 0.0703 0.6237 (multiplicity 4)
Pr: 0.2251 0.5486 0.6167 (multiplicity 4)
Pr: 0.2991 0.6733 0.1035 (multiplicity 4)
C: 0.0212 0.0383 0.2232 (multiplicity 4)
C: 0.0479 0.6601 0.7645 (multiplicity 4)
C: 0.0980 0.5854 0.2213 (multiplicity 4)
C: 0.1576 0.7150 0.7181 (multiplicity 4)
Cl: 0.3497 0.2026 0.5165 (multiplicity 4)
Cl: 0.4147 0.0966 0.0183 (multiplicity 4)
Cl: 0.5000 0.0000 0.5000 (multiplicity 2)